The following is a simulated PXRD pattern of CaUCd2O6. It was derived from a crystal structure in Alexandria, relaxed with GGA-PBE, using a wavelength of 1.5418 Å.

The 10 most intense peaks (2θ from 5° to 70°), low angle first:
2θ = 14.6°, I = 58
2θ = 19.9°, I = 44
2θ = 24.7°, I = 36
2θ = 28.9°, I = 100
2θ = 29.5°, I = 70
2θ = 38.9°, I = 21
2θ = 42.2°, I = 43
2θ = 45.8°, I = 44
2θ = 51.9°, I = 39
2θ = 64.0°, I = 32

Atomic structure:
```
CaUCd2O6
1.0
6.0595 0.0000 0.0000
0.0000 6.0595 0.0000
0.0000 0.0000 4.4710
Ca U Cd O
1 1 2 6
direct
0.0000 0.0000 0.0000 Ca
0.5000 0.5000 0.0626 U
0.0000 0.5000 0.3635 Cd
0.5000 0.0000 0.3635 Cd
0.0000 0.0000 0.5124 O
0.2637 0.2637 0.1039 O
0.2637 0.7363 0.1039 O
0.5000 0.5000 0.5728 O
0.7363 0.2637 0.1039 O
0.7363 0.7363 0.1039 O
```